No. 1
# Ti3Ni3Te2O16
Computed powder XRD pattern, Cu Kα. Input: DFT lattice parameters and positions (GGA+U).
Peak positions follow from Bragg's law for the DFT cell and can differ from measured ones.

Crystal structure
```
data_Ti3Ni3Te2O16
_chemical_formula_sum 'Ti6 Ni6 Te4 O32'
_cell_length_a 10.389
_cell_length_b 5.909
_cell_length_c 9.234
_cell_angle_alpha 90.00
_cell_angle_beta 91.30
_cell_angle_gamma 90.00
_symmetry_space_group_name_H-M 'C 1 m 1'
_symmetry_Int_Tables_number 8
loop_
_symmetry_equiv_pos_as_xyz
'x,y,z'
'x,-y,z'
'x+1/2,y+1/2,z'
'x+1/2,-y+1/2,z'
loop_
_atom_site_label
_atom_site_type_symbol
_atom_site_fract_x
_atom_site_fract_y
_atom_site_fract_z
Ti1 Ti 0.000 0.000 0.000
Ti2 Ti 0.071 0.251 0.508
Ni1 Ni 0.246 0.253 0.009
Ni2 Ni 0.330 0.000 0.511
Te1 Te 0.320 0.500 0.734
Te2 Te 0.484 0.000 0.229
O1 O 0.008 0.500 0.616
O2 O 0.061 0.260 0.115
O3 O 0.132 0.500 0.371
O4 O 0.152 0.000 0.420
O5 O 0.164 0.000 0.916
O6 O 0.181 0.500 0.878
O7 O 0.241 0.264 0.619
O8 O 0.321 0.000 0.124
O9 O 0.324 0.500 0.103
O10 O 0.405 0.286 0.868
O11 O 0.423 0.224 0.369
O12 O 0.476 0.500 0.611
```

Main lines, sorted by position (10 to 90 degrees two-theta):
(2 0 -1), 2θ 19.4, I 30
(1 1 -1), 2θ 19.7, I 64
(2 0 1), 2θ 19.9, I 100
(1 1 -2), 2θ 25.8, I 25
(2 0 2), 2θ 26.1, I 26
(1 1 -3), 2θ 33.8, I 19
(1 1 3), 2θ 34.2, I 27
(3 1 -2), 2θ 35.5, I 27
(3 1 2), 2θ 36.1, I 63
(6 2 0), 2θ 62.1, I 26


No. 2
# Ti2Ni3Te3O16
Computed powder XRD pattern, Cu Kα. Input: DFT lattice parameters and positions (GGA+U).
Peak positions follow from Bragg's law for the DFT cell and can differ from measured ones.

Crystal structure
```
data_Ti2Ni3Te3O16
_chemical_formula_sum 'Ti4 Ni6 Te6 O32'
_cell_length_a 10.562
_cell_length_b 6.073
_cell_length_c 9.310
_cell_angle_alpha 90.00
_cell_angle_beta 91.37
_cell_angle_gamma 90.00
_symmetry_space_group_name_H-M 'C 1 m 1'
_symmetry_Int_Tables_number 8
loop_
_symmetry_equiv_pos_as_xyz
'x,y,z'
'x,-y,z'
'x+1/2,y+1/2,z'
'x+1/2,-y+1/2,z'
loop_
_atom_site_label
_atom_site_type_symbol
_atom_site_fract_x
_atom_site_fract_y
_atom_site_fract_z
Ti1 Ti 0.000 0.000 0.000
Ti2 Ti 0.185 0.500 0.447
Ni1 Ni 0.036 0.500 0.750
Ni2 Ni 0.444 0.249 0.255
Te1 Te 0.192 0.000 0.246
Te2 Te 0.284 0.251 0.745
O1 O 0.034 0.500 0.369
O2 O 0.041 0.000 0.357
O3 O 0.103 0.209 0.113
O4 O 0.137 0.278 0.625
O5 O 0.208 0.000 0.852
O6 O 0.211 0.500 0.863
O7 O 0.267 0.251 0.362
O8 O 0.351 0.000 0.153
O9 O 0.352 0.500 0.625
O10 O 0.362 0.000 0.636
O11 O 0.375 0.500 0.117
O12 O 0.440 0.253 0.856
```

Main lines, sorted by position (10 to 90 degrees two-theta):
(0 0 2), 2θ 19.1, I 100
(1 1 -1), 2θ 19.3, I 27
(1 1 1), 2θ 19.5, I 21
(2 2 0), 2θ 34.0, I 15
(2 2 -1), 2θ 35.3, I 27
(4 0 1), 2θ 35.6, I 44
(2 2 -2), 2θ 39.1, I 14
(2 2 -3), 2θ 44.9, I 19
(2 2 3), 2θ 45.5, I 18
(6 2 0), 2θ 60.8, I 16


No. 3
# ZnNiTe3O8
Computed powder XRD pattern, Cu Kα. Input: DFT lattice parameters and positions (GGA+U).
Peak positions follow from Bragg's law for the DFT cell and can differ from measured ones.

Crystal structure
```
data_ZnNiTe3O8
_chemical_formula_sum 'Zn4 Ni4 Te12 O32'
_cell_length_a 12.667
_cell_length_b 5.314
_cell_length_c 11.782
_cell_angle_alpha 90.00
_cell_angle_beta 98.67
_cell_angle_gamma 90.00
_symmetry_space_group_name_H-M 'C 1 2 1'
_symmetry_Int_Tables_number 5
loop_
_symmetry_equiv_pos_as_xyz
'x,y,z'
'-x,y,-z'
'x+1/2,y+1/2,z'
'-x+1/2,y+1/2,-z'
loop_
_atom_site_label
_atom_site_type_symbol
_atom_site_fract_x
_atom_site_fract_y
_atom_site_fract_z
Zn1 Zn 0.231 0.000 0.097
Ni1 Ni 0.234 0.624 0.604
Te1 Te 0.000 0.652 0.000
Te2 Te 0.000 0.977 0.500
Te3 Te 0.135 0.993 0.801
Te4 Te 0.138 0.625 0.310
O1 O 0.081 0.752 0.604
O2 O 0.081 0.876 0.106
O3 O 0.114 0.676 0.886
O4 O 0.114 0.951 0.385
O5 O 0.198 0.455 0.448
O6 O 0.199 0.163 0.938
O7 O 0.230 0.292 0.714
O8 O 0.235 0.312 0.226
```

Main lines, sorted by position (10 to 90 degrees two-theta):
(1 1 0), 2θ 18.1, I 43
(1 1 -1), 2θ 19.3, I 19
(2 0 2), 2θ 22.4, I 33
(3 1 -1), 2θ 27.3, I 72
(1 1 3), 2θ 30.2, I 100
(2 0 -4), 2θ 31.9, I 31
(2 2 -1), 2θ 37.1, I 19
(0 2 3), 2θ 41.2, I 17
(1 1 -7), 2θ 57.4, I 16
(3 3 2), 2θ 59.8, I 17


No. 4
# Ti3Ni3O
Computed powder XRD pattern, Cu Kα. Input: DFT lattice parameters and positions (GGA+U).
Peak positions follow from Bragg's law for the DFT cell and can differ from measured ones.

Crystal structure
abc: 10.989 10.989 10.989
angles: 90.00 90.00 90.00
Space group Fd-3m (No. 227, origin choice 2)
Symmetry-distinct sites (fractional):
Ti (0.069, 0.375, 0.375) [48 per cell]
Ni (0.000, 0.000, 0.500) [16 per cell]
Ni (0.039, 0.039, 0.711) [32 per cell]
O (0.000, 0.000, 0.000) [16 per cell]

Main lines, sorted by position (10 to 90 degrees two-theta):
(1 1 1), 2θ 14.0, I 20
(4 2 2), 2θ 40.2, I 25
(3 3 3), 2θ 42.8, I 100
(4 4 0), 2θ 46.8, I 40
(4 4 2), 2θ 49.8, I 13
(6 2 2), 2θ 55.5, I 7
(6 6 0), 2θ 73.1, I 24
(5 5 5), 2θ 74.8, I 7
(8 4 2), 2θ 80.0, I 7
(9 3 3), 2θ 88.5, I 16


No. 5
# TiNiO6
Computed powder XRD pattern, Cu Kα. Input: DFT lattice parameters and positions (GGA+U).
Peak positions follow from Bragg's law for the DFT cell and can differ from measured ones.

Crystal structure
```
data_TiNiO6
_chemical_formula_sum 'Ti3 Ni3 O18'
_cell_length_a 4.9650
_cell_length_b 4.9650
_cell_length_c 14.4842
_cell_angle_alpha 90.00
_cell_angle_beta 90.00
_cell_angle_gamma 120.00
_symmetry_space_group_name_H-M 'R 3'
_symmetry_Int_Tables_number 146
_symmetry_space_group_name_Hall 'R 3'
loop_
_atom_site_label
_atom_site_type_symbol
_atom_site_fract_x
_atom_site_fract_y
_atom_site_fract_z
Ti1 Ti 0.0000 0.0000 0.0000
Ni1 Ni 0.0000 0.0000 0.2099
O1 O 0.0343 0.6827 0.9466
O2 O 0.0766 0.4083 0.7847
```

Main lines, sorted by position (10 to 90 degrees two-theta):
(0 0 3), 2θ 18.4, I 10
(1 0 1), 2θ 21.6, I 100
(0 1 2), 2θ 24.1, I 12
(1 0 4), 2θ 32.3, I 22
(1 1 0), 2θ 36.2, I 10
(0 1 5), 2θ 37.4, I 16
(1 1 3), 2θ 40.9, I 21
(1 1 6), 2θ 52.9, I 17
(2 0 5), 2θ 53.0, I 11
(1 2 5), 2θ 65.9, I 10


No. 6
# TlNiO3
Computed powder XRD pattern, Cu Kα. Input: DFT lattice parameters and positions (GGA+U).
Peak positions follow from Bragg's law for the DFT cell and can differ from measured ones.

Crystal structure
```
data_TlNiO3
_chemical_formula_sum 'Tl4 Ni4 O12'
_cell_length_a 5.456
_cell_length_b 7.747
_cell_length_c 5.328
_cell_angle_alpha 90.00
_cell_angle_beta 90.00
_cell_angle_gamma 90.00
_symmetry_space_group_name_H-M 'P n m a'
_symmetry_Int_Tables_number 62
loop_
_symmetry_equiv_pos_as_xyz
'x,y,z'
'-x,-y,-z'
'-x+1/2,-y,z+1/2'
'x+1/2,y,-z+1/2'
'x+1/2,-y+1/2,-z+1/2'
'-x+1/2,y+1/2,z+1/2'
'-x,y+1/2,-z'
'x,-y+1/2,z'
loop_
_atom_site_label
_atom_site_type_symbol
_atom_site_fract_x
_atom_site_fract_y
_atom_site_fract_z
Tl1 Tl 0.050 0.250 0.017
Ni1 Ni 0.000 0.000 0.500
O1 O 0.045 0.750 0.393
O2 O 0.206 0.559 0.796
```

Main lines, sorted by position (10 to 90 degrees two-theta):
(0 2 0), 2θ 23.0, I 16
(1 0 1), 2θ 23.3, I 25
(1 1 1), 2θ 26.1, I 12
(2 0 0), 2θ 32.8, I 20
(1 2 1), 2θ 33.0, I 100
(0 0 2), 2θ 33.6, I 23
(0 4 0), 2θ 46.9, I 13
(2 0 2), 2θ 47.7, I 19
(3 1 1), 2θ 54.6, I 12
(1 2 3), 2θ 59.7, I 21


No. 7
# TlNiO3
Computed powder XRD pattern, Cu Kα. Input: DFT lattice parameters and positions (GGA+U).
Peak positions follow from Bragg's law for the DFT cell and can differ from measured ones.

Crystal structure
```
data_TlNiO3
_chemical_formula_sum 'Tl1 Ni1 O3'
_cell_length_a 3.913
_cell_length_b 3.783
_cell_length_c 3.935
_cell_angle_alpha 90.00
_cell_angle_beta 98.02
_cell_angle_gamma 90.00
_symmetry_space_group_name_H-M 'P 1 m 1'
_symmetry_Int_Tables_number 6
loop_
_symmetry_equiv_pos_as_xyz
'x,y,z'
'x,-y,z'
loop_
_atom_site_label
_atom_site_type_symbol
_atom_site_fract_x
_atom_site_fract_y
_atom_site_fract_z
Tl1 Tl 0.000 0.000 0.000
Ni1 Ni 0.524 0.500 0.509
O1 O 0.042 0.500 0.616
O2 O 0.462 0.000 0.435
O3 O 0.631 0.500 0.025
```

Main lines, sorted by position (10 to 90 degrees two-theta):
(0 0 1), 2θ 22.8, I 15
(1 0 0), 2θ 23.0, I 15
(1 0 -1), 2θ 30.2, I 34
(0 1 1), 2θ 33.0, I 100
(1 0 1), 2θ 34.9, I 24
(1 1 -1), 2θ 38.6, I 17
(0 0 2), 2θ 46.6, I 14
(2 0 0), 2θ 46.9, I 13
(0 2 0), 2θ 48.1, I 14
(1 1 -2), 2θ 55.4, I 13


No. 8
# TlNiO3
Computed powder XRD pattern, Cu Kα. Input: DFT lattice parameters and positions (GGA+U).
Peak positions follow from Bragg's law for the DFT cell and can differ from measured ones.

Crystal structure
```
data_TlNiO3
_chemical_formula_sum 'Tl2 Ni2 O6'
_cell_length_a 5.343
_cell_length_b 5.365
_cell_length_c 3.798
_cell_angle_alpha 90.00
_cell_angle_beta 90.27
_cell_angle_gamma 90.00
_symmetry_space_group_name_H-M 'C 1 m 1'
_symmetry_Int_Tables_number 8
loop_
_symmetry_equiv_pos_as_xyz
'x,y,z'
'x,-y,z'
'x+1/2,y+1/2,z'
'x+1/2,-y+1/2,z'
loop_
_atom_site_label
_atom_site_type_symbol
_atom_site_fract_x
_atom_site_fract_y
_atom_site_fract_z
Tl1 Tl 0.000 0.000 0.000
Ni1 Ni 0.016 0.500 0.490
O1 O 0.013 0.500 0.989
O2 O 0.280 0.262 0.489
```

Main lines, sorted by position (10 to 90 degrees two-theta):
(1 1 0), 2θ 23.5, I 52
(0 2 0), 2θ 33.4, I 100
(2 0 0), 2θ 33.5, I 100
(0 2 1), 2θ 41.2, I 30
(0 0 2), 2θ 47.9, I 19
(2 2 0), 2θ 48.1, I 37
(2 2 -1), 2θ 54.1, I 13
(1 3 -1), 2θ 59.7, I 33
(1 3 1), 2θ 59.8, I 26
(2 4 0), 2θ 80.0, I 17